# 1
Er2InSn4: theoretical X-ray powder pattern (Cu Kα (λ = 1.5418 Å)), based on a cell relaxed with GGA-PBE.

Most intense lines, 2θ from 15° to 90°, low angle first:
two_theta  I/Imax  (hkl)
22.13  9  1 0 1
27.10  9  1 0 2
34.05  100  1 1 2
36.18  16  0 0 4
41.10  33  2 0 0
55.89  18  2 0 4
59.53  11  2 2 0
70.38  26  3 1 2

Structure:
Cell: 4.3925 4.3925 9.9318 Å, 90.00 90.00 90.00°
Space group P-4m2 (No. 115)
Symmetry-distinct sites (fractional):
Er (0.0000, 0.5000, 0.2469) x2
In (0.0000, 0.0000, 0.5000) x1
Sn (0.0000, 0.0000, 0.0000) x1
Sn (0.0000, 0.5000, 0.6988) x2
Sn (0.5000, 0.5000, 0.0000) x1


# 2
ErInSn2: theoretical X-ray powder pattern (Cu Kα (λ = 1.5418 Å)), based on a cell relaxed with GGA-PBE.

Most intense lines, 2θ from 15° to 90°, low angle first:
two_theta  I/Imax  (hkl)
33.29  100  1 1 2
36.45  20  0 0 4
39.68  31  2 0 0
54.96  24  2 0 4
57.36  11  2 2 0
63.59  16  1 1 6
67.96  26  3 1 2
69.89  12  2 2 4

Structure:
Cell: 4.5434 4.5434 9.8609 Å, 90.00 90.00 90.00°
Space group I4/mmm (No. 139)
Symmetry-distinct sites (fractional):
Er (0.0000, 0.0000, 0.0000) x2
In (0.0000, 0.0000, 0.5000) x2
Sn (0.0000, 0.5000, 0.2500) x4


# 3
Er3In3Sn4: theoretical X-ray powder pattern (Cu Kα (λ = 1.5418 Å)), based on a cell relaxed with GGA-PBE.

Most intense lines, 2θ from 15° to 90°, low angle first:
two_theta  I/Imax  (hkl)
30.42  39  1 2 2
32.47  100  1 3 1
32.60  84  1 1 3
36.13  30  0 4 2
36.29  33  0 2 4
40.67  32  2 0 0
55.63  19  2 2 4
68.90  21  3 3 1

Structure:
Cell: 4.4367 11.1330 11.0552 Å, 90.00 90.00 90.00°
Space group Amm2 (No. 38)
Symmetry-distinct sites (fractional):
Er (0.0000, 0.0000, 0.0000) x2
Er (0.0000, 0.1701, 0.6648) x4
In (0.0000, 0.0000, 0.3345) x2
In (0.5000, 0.2501, 0.4101) x4
Sn (0.5000, 0.0000, 0.5364) x2
Sn (0.5000, 0.0000, 0.8032) x2
Sn (0.5000, 0.1354, 0.1552) x4